Entry 1:
This entry pairs a crystal structure of Na5B7C3 with its theoretical powder X-ray diffraction pattern. Radiation: Cu Kα (λ = 1.5418 Å). Structure: DFT lattice parameters and positions (PBE).
Kinematic intensities with the Lorentz-polarization factor, no thermal factor.

Structure:
Lattice parameters (Å, degrees): 4.992 7.692 9.052 107.76 90.03 108.92
Space group P1 (No. 1)
One atom of each set of equivalent atoms:
1 Na 0.000 0.000 0.000 (multiplicity 1)
2 Na 0.095 0.198 0.496 (multiplicity 1)
3 Na 0.197 0.401 0.001 (multiplicity 1)
4 Na 0.299 0.598 0.492 (multiplicity 1)
5 Na 0.401 0.803 0.003 (multiplicity 1)
6 Na 0.498 0.999 0.494 (multiplicity 1)
7 Na 0.599 0.201 0.998 (multiplicity 1)
8 Na 0.698 0.400 0.496 (multiplicity 1)
9 Na 0.800 0.601 0.001 (multiplicity 1)
10 Na 0.900 0.797 0.492 (multiplicity 1)
11 B 0.017 0.712 0.747 (multiplicity 1)
12 B 0.081 0.501 0.747 (multiplicity 1)
13 B 0.166 0.700 0.248 (multiplicity 1)
14 B 0.220 0.082 0.747 (multiplicity 1)
15 B 0.384 0.100 0.247 (multiplicity 1)
16 B 0.438 0.518 0.747 (multiplicity 1)
17 B 0.465 0.300 0.747 (multiplicity 1)
18 B 0.517 0.700 0.248 (multiplicity 1)
19 B 0.580 0.488 0.248 (multiplicity 1)
20 B 0.605 0.888 0.747 (multiplicity 1)
21 B 0.792 0.911 0.247 (multiplicity 1)
22 B 0.817 0.300 0.747 (multiplicity 1)
23 B 0.880 0.099 0.748 (multiplicity 1)
24 B 0.983 0.300 0.247 (multiplicity 1)
25 C 0.117 0.902 0.247 (multiplicity 1)
26 C 0.287 0.896 0.748 (multiplicity 1)
27 C 0.318 0.294 0.247 (multiplicity 1)
28 C 0.691 0.704 0.747 (multiplicity 1)
29 C 0.724 0.105 0.246 (multiplicity 1)
30 C 0.915 0.497 0.249 (multiplicity 1)

The 6 most intense peaks (2θ from 15° to 90°), by angle:
35.71°, I 192
41.65°, I 1000
41.89°, I 508
42.19°, I 379
64.51°, I 172
80.16°, I 127



Entry 2:
This entry pairs a crystal structure of Sm3Sn2Rh6 with its theoretical powder X-ray diffraction pattern. Radiation: Cu Kα (λ = 1.5418 Å). Structure: DFT lattice parameters and positions (PBE).
Kinematic intensities with the Lorentz-polarization factor, no thermal factor.

Structure:
Lattice parameters (Å, degrees): 9.588 9.588 9.588 90.00 90.00 90.00
Space group Im-3m (No. 229)
One atom of each set of equivalent atoms:
1 Sm 0.000 0.000 0.291 (multiplicity 12)
2 Sn 0.250 0.250 0.250 (multiplicity 8)
3 Rh 0.000 0.349 0.349 (multiplicity 24)

The 6 most intense peaks (2θ from 15° to 90°), by angle:
32.35°, I 359
35.02°, I 232
39.89°, I 1000
42.15°, I 177
64.46°, I 167
72.44°, I 252



Entry 3:
This entry pairs a crystal structure of Ac2TbH12Rh3 with its theoretical powder X-ray diffraction pattern. Radiation: Cu Kα (λ = 1.5418 Å). Structure: DFT lattice parameters and positions (PBE).
Kinematic intensities with the Lorentz-polarization factor, no thermal factor.

Structure:
Lattice parameters (Å, degrees): 6.7931 6.7931 14.5263 90.00 90.00 120.00
Space group R-3m (No. 166, hexagonal axes)
One atom of each set of equivalent atoms:
1 Ac 0.0000 0.0000 0.1174 (multiplicity 6)
2 Tb 0.0000 0.0000 0.5000 (multiplicity 3)
3 H 0.0183 0.5091 0.8831 (multiplicity 18)
4 H 0.0751 0.5376 0.3230 (multiplicity 18)
5 Rh 0.0000 0.5000 0.0000 (multiplicity 9)

The 6 most intense peaks (2θ from 15° to 90°), by angle:
26.24°, I 710
31.02°, I 477
32.19°, I 1000
32.85°, I 451
34.43°, I 610
54.01°, I 410



Entry 4:
This entry pairs a crystal structure of Li3Rh4 with its theoretical powder X-ray diffraction pattern. Radiation: Cu Kα (λ = 1.5418 Å). Structure: DFT lattice parameters and positions (PBE).
Kinematic intensities with the Lorentz-polarization factor, no thermal factor.

Structure:
Lattice parameters (Å, degrees): 2.760 2.760 25.519 90.00 90.00 90.00
Space group I4/mmm (No. 139)
One atom of each set of equivalent atoms:
1 Li 0.000 0.000 0.000 (multiplicity 2)
2 Li 0.000 0.000 0.290 (multiplicity 4)
3 Rh 0.000 0.000 0.142 (multiplicity 4)
4 Rh 0.000 0.000 0.428 (multiplicity 4)

The 6 most intense peaks (2θ from 15° to 90°), by angle:
34.16°, I 430
41.02°, I 1000
46.54°, I 347
48.80°, I 167
70.72°, I 192
82.52°, I 252



Entry 5:
This entry pairs a crystal structure of Ac3SmSb4 with its theoretical powder X-ray diffraction pattern. Radiation: Cu Kα (λ = 1.5418 Å). Structure: DFT lattice parameters and positions (PBE).
Kinematic intensities with the Lorentz-polarization factor, no thermal factor.

Structure:
Lattice parameters (Å, degrees): 6.686 6.686 6.686 90.00 90.00 90.00
Space group Pm-3m (No. 221)
One atom of each set of equivalent atoms:
1 Ac 0.000 0.000 0.500 (multiplicity 3)
2 Sm 0.500 0.500 0.500 (multiplicity 1)
3 Sb 0.000 0.000 0.000 (multiplicity 1)
4 Sb 0.000 0.500 0.500 (multiplicity 3)

The 6 most intense peaks (2θ from 15° to 90°), by angle:
26.66°, I 1000
38.07°, I 787
47.08°, I 288
62.08°, I 379
68.78°, I 280
87.54°, I 191



Entry 6:
This entry pairs a crystal structure of PmGe3Pd2 with its theoretical powder X-ray diffraction pattern. Radiation: Cu Kα (λ = 1.5418 Å). Structure: DFT lattice parameters and positions (PBE).
Kinematic intensities with the Lorentz-polarization factor, no thermal factor.

Structure:
Lattice parameters (Å, degrees): 8.291 9.606 6.131 90.00 90.00 90.00
Space group Cmcm (No. 63)
One atom of each set of equivalent atoms:
1 Pm 0.000 0.190 0.250 (multiplicity 4)
2 Ge 0.000 0.359 0.750 (multiplicity 4)
3 Ge 0.151 0.126 0.750 (multiplicity 8)
4 Pd 0.174 0.500 0.000 (multiplicity 8)

The 6 most intense peaks (2θ from 15° to 90°), by angle:
28.44°, I 839
29.91°, I 624
32.04°, I 1000
34.71°, I 936
36.45°, I 628
45.17°, I 732